# 1
Theoretical powder diffraction line list
Compound: Tb5Er2
Radiation: Cu Kα, 1.54184 Å
Structure: DFT lattice parameters and positions (GGA-PBE)

Largest 10 diffraction maxima, most intense first, 10 to 90 degrees two-theta:
| 2theta | I/Imax |
| --- | --- |
| 31.61 | 100 |
| 31.74 | 94 |
| 31.50 | 94 |
| 32.90 | 88 |
| 33.27 | 88 |
| 30.25 | 73 |
| 62.25 | 43 |
| 48.45 | 38 |
| 63.02 | 27 |
| 52.11 | 26 |

Structure:
```
Tb5Er2
1.0
3.510 0.000 0.000
-1.749 8.325 0.000
-0.013 -4.270 7.563
Tb Er
5 2
direct
0.000 0.000 0.000 Tb
0.296 0.591 0.707 Tb
0.359 0.720 0.166 Tb
0.641 0.280 0.834 Tb
0.704 0.409 0.293 Tb
0.070 0.141 0.430 Er
0.930 0.859 0.570 Er
```

=====

# 2
Theoretical powder diffraction line list
Compound: K2BaHg10
Radiation: Cu Kα, 1.54184 Å
Structure: DFT lattice parameters and positions (GGA-PBE)

Largest 10 diffraction maxima, most intense first, 10 to 90 degrees two-theta:
| 2theta | I/Imax |
| --- | --- |
| 13.56 | 100 |
| 37.24 | 45 |
| 34.53 | 37 |
| 31.16 | 31 |
| 29.72 | 27 |
| 31.83 | 26 |
| 33.77 | 25 |
| 32.80 | 24 |
| 40.00 | 24 |
| 14.74 | 23 |

Structure:
```
K2BaHg10
1.0
9.541 0.000 0.000
0.000 15.484 0.000
0.000 0.000 6.532
K Ba Hg
4 2 20
direct
0.037 0.137 0.000 K
0.463 0.637 0.000 K
0.537 0.363 0.000 K
0.963 0.863 0.000 K
0.000 0.500 0.500 Ba
0.500 0.000 0.500 Ba
0.053 0.743 0.500 Hg
0.130 0.944 0.500 Hg
0.181 0.334 0.223 Hg
0.181 0.334 0.777 Hg
0.195 0.134 0.500 Hg
0.305 0.634 0.500 Hg
0.319 0.834 0.223 Hg
0.319 0.834 0.777 Hg
0.370 0.444 0.500 Hg
0.447 0.243 0.500 Hg
0.553 0.757 0.500 Hg
0.630 0.556 0.500 Hg
0.681 0.166 0.223 Hg
0.681 0.166 0.777 Hg
0.695 0.366 0.500 Hg
0.805 0.866 0.500 Hg
0.819 0.666 0.223 Hg
0.819 0.666 0.777 Hg
0.870 0.056 0.500 Hg
0.947 0.257 0.500 Hg
```

=====

# 3
Theoretical powder diffraction line list
Compound: Tb2Er3Mg
Radiation: Cu Kα, 1.54184 Å
Structure: DFT lattice parameters and positions (GGA-PBE)

Largest 10 diffraction maxima, most intense first, 10 to 90 degrees two-theta:
| 2theta | I/Imax |
| --- | --- |
| 34.66 | 100 |
| 30.35 | 86 |
| 29.03 | 80 |
| 36.49 | 63 |
| 28.70 | 58 |
| 31.36 | 54 |
| 31.05 | 53 |
| 34.23 | 49 |
| 33.04 | 29 |
| 49.93 | 26 |

Structure:
```
Tb2Er3Mg
1.0
4.881 -5.704 0.000
4.881 5.704 0.000
-0.747 0.000 6.674
Tb Er Mg
4 6 2
direct
0.070 0.605 0.808 Tb
0.395 0.930 0.692 Tb
0.605 0.070 0.308 Tb
0.930 0.395 0.192 Tb
0.051 0.949 0.250 Er
0.287 0.328 0.514 Er
0.328 0.287 0.014 Er
0.672 0.713 0.986 Er
0.713 0.672 0.486 Er
0.949 0.051 0.750 Er
0.322 0.678 0.250 Mg
0.678 0.322 0.750 Mg
```

=====

# 4
Theoretical powder diffraction line list
Compound: CsTe8Rh5
Radiation: Cu Kα, 1.54184 Å
Structure: DFT lattice parameters and positions (GGA-PBE)

Largest 10 diffraction maxima, most intense first, 10 to 90 degrees two-theta:
| 2theta | I/Imax |
| --- | --- |
| 28.74 | 100 |
| 45.25 | 70 |
| 30.57 | 65 |
| 42.59 | 48 |
| 29.22 | 45 |
| 55.05 | 42 |
| 44.49 | 40 |
| 30.79 | 36 |
| 37.33 | 27 |
| 34.75 | 25 |

Structure:
```
CsTe8Rh5
1.0
10.358 -2.036 0.000
10.358 2.036 0.000
-2.246 0.000 8.865
Cs Te Rh
1 8 5
direct
0.000 0.000 0.000 Cs
0.073 0.073 0.647 Te
0.263 0.263 0.350 Te
0.321 0.321 0.013 Te
0.408 0.408 0.662 Te
0.592 0.592 0.338 Te
0.679 0.679 0.987 Te
0.737 0.737 0.650 Te
0.927 0.927 0.353 Te
0.161 0.161 0.482 Rh
0.203 0.203 0.818 Rh
0.500 0.500 0.500 Rh
0.797 0.797 0.182 Rh
0.839 0.839 0.518 Rh
```

=====

# 5
Theoretical powder diffraction line list
Compound: BeZn5Pd6
Radiation: Cu Kα, 1.54184 Å
Structure: DFT lattice parameters and positions (GGA-PBE)

Largest 10 diffraction maxima, most intense first, 10 to 90 degrees two-theta:
| 2theta | I/Imax |
| --- | --- |
| 41.29 | 100 |
| 43.95 | 21 |
| 44.50 | 20 |
| 78.97 | 14 |
| 64.33 | 13 |
| 79.76 | 12 |
| 55.09 | 9 |
| 30.87 | 9 |
| 89.69 | 9 |
| 73.42 | 8 |

Structure:
```
BeZn5Pd6
1.0
-2.060 3.334 6.107
2.060 -3.334 6.107
2.060 3.334 -6.107
Be Zn Pd
1 5 6
direct
0.000 0.000 0.000 Be
0.175 0.675 0.500 Zn
0.339 0.339 0.000 Zn
0.500 0.000 0.500 Zn
0.661 0.661 0.000 Zn
0.825 0.325 0.500 Zn
0.076 0.838 0.237 Pd
0.226 0.500 0.726 Pd
0.399 0.162 0.237 Pd
0.601 0.838 0.763 Pd
0.774 0.500 0.274 Pd
0.924 0.162 0.763 Pd
```

=====

# 6
Theoretical powder diffraction line list
Compound: Li4Ca3Tl4
Radiation: Cu Kα, 1.54184 Å
Structure: DFT lattice parameters and positions (GGA-PBE)

Largest 10 diffraction maxima, most intense first, 10 to 90 degrees two-theta:
| 2theta | I/Imax |
| --- | --- |
| 31.30 | 100 |
| 36.21 | 94 |
| 19.78 | 78 |
| 22.59 | 49 |
| 22.81 | 44 |
| 25.01 | 39 |
| 35.31 | 33 |
| 42.33 | 30 |
| 31.93 | 28 |
| 35.87 | 27 |

Structure:
```
Li4Ca3Tl4
1.0
3.583 0.000 0.000
-0.009 4.966 0.000
-1.788 -2.478 15.743
Li Ca Tl
4 3 4
direct
0.094 0.093 0.187 Li
0.240 0.739 0.479 Li
0.760 0.261 0.521 Li
0.906 0.907 0.813 Li
0.358 0.358 0.714 Ca
0.500 0.000 0.000 Ca
0.642 0.642 0.286 Ca
0.051 0.551 0.102 Tl
0.185 0.185 0.371 Tl
0.815 0.815 0.629 Tl
0.949 0.449 0.898 Tl
```

=====

# 7
Theoretical powder diffraction line list
Compound: BaGaBi2
Radiation: Cu Kα, 1.54184 Å
Structure: DFT lattice parameters and positions (GGA-PBE)

Largest 10 diffraction maxima, most intense first, 10 to 90 degrees two-theta:
| 2theta | I/Imax |
| --- | --- |
| 29.72 | 100 |
| 32.57 | 47 |
| 27.09 | 40 |
| 26.72 | 34 |
| 43.12 | 27 |
| 26.35 | 23 |
| 19.87 | 20 |
| 30.64 | 15 |
| 46.20 | 12 |
| 51.58 | 11 |

Structure:
```
BaGaBi2
1.0
6.737 0.000 0.000
0.000 13.348 0.000
-3.172 0.000 6.016
Ba Ga Bi
4 4 8
direct
0.000 0.139 0.250 Ba
0.000 0.861 0.750 Ba
0.500 0.361 0.750 Ba
0.500 0.639 0.250 Ba
0.000 0.274 0.750 Ga
0.000 0.726 0.250 Ga
0.500 0.226 0.250 Ga
0.500 0.774 0.750 Ga
0.191 0.395 0.146 Bi
0.191 0.605 0.646 Bi
0.309 0.105 0.854 Bi
0.309 0.895 0.354 Bi
0.691 0.105 0.646 Bi
0.691 0.895 0.146 Bi
0.809 0.395 0.354 Bi
0.809 0.605 0.854 Bi
```

=====

# 8
Theoretical powder diffraction line list
Compound: TbPm2Pr5Sm
Radiation: Cu Kα, 1.54184 Å
Structure: DFT lattice parameters and positions (GGA-PBE)

Largest 10 diffraction maxima, most intense first, 10 to 90 degrees two-theta:
| 2theta | I/Imax |
| --- | --- |
| 29.86 | 100 |
| 27.89 | 51 |
| 28.43 | 51 |
| 51.24 | 22 |
| 53.87 | 18 |
| 36.92 | 17 |
| 54.39 | 13 |
| 44.75 | 13 |
| 31.87 | 13 |
| 39.04 | 13 |

Structure:
```
TbPm2Pr5Sm
1.0
-4.440 4.440 8.100
4.440 -4.440 8.100
4.440 4.440 -8.100
Tb Pm Pr Sm
2 4 10 2
direct
0.250 0.750 0.500 Tb
0.750 0.250 0.500 Tb
0.118 0.618 0.736 Pm
0.382 0.118 0.500 Pm
0.618 0.882 0.500 Pm
0.882 0.382 0.264 Pm
0.000 0.000 0.000 Pr
0.069 0.150 0.500 Pr
0.150 0.650 0.081 Pr
0.350 0.431 0.500 Pr
0.431 0.931 0.081 Pr
0.500 0.500 0.000 Pr
0.569 0.069 0.919 Pr
0.650 0.569 0.500 Pr
0.850 0.350 0.919 Pr
0.931 0.850 0.500 Pr
0.250 0.250 0.000 Sm
0.750 0.750 0.000 Sm
```

=====

# 9
Theoretical powder diffraction line list
Compound: NaCaScZnSi4O12
Radiation: Cu Kα, 1.54184 Å
Structure: DFT lattice parameters and positions (GGA-PBE)

Largest 10 diffraction maxima, most intense first, 10 to 90 degrees two-theta:
| 2theta | I/Imax |
| --- | --- |
| 29.17 | 100 |
| 34.89 | 40 |
| 35.12 | 40 |
| 29.71 | 40 |
| 13.43 | 35 |
| 55.31 | 33 |
| 34.24 | 26 |
| 41.40 | 21 |
| 64.44 | 17 |
| 40.07 | 15 |

Structure:
```
NaCaScZnSi4O12
1.0
4.986 -4.550 0.000
4.986 4.550 0.000
-1.531 0.000 5.142
Na Ca Sc Zn Si O
1 1 1 1 4 12
direct
0.000 0.000 0.000 Na
0.600 0.400 0.500 Ca
0.199 0.801 0.500 Sc
0.400 0.600 0.000 Zn
0.102 0.321 0.510 Si
0.499 0.078 0.988 Si
0.679 0.898 0.490 Si
0.922 0.501 0.012 Si
0.099 0.664 0.107 O
0.189 0.091 0.440 O
0.269 0.496 0.598 O
0.336 0.901 0.893 O
0.416 0.309 0.072 O
0.504 0.731 0.402 O
0.636 0.065 0.757 O
0.658 0.039 0.263 O
0.691 0.584 0.928 O
0.909 0.811 0.560 O
0.935 0.364 0.243 O
0.961 0.342 0.737 O
```

=====

# 10
Theoretical powder diffraction line list
Compound: RbPuClF2
Radiation: Cu Kα, 1.54184 Å
Structure: DFT lattice parameters and positions (GGA-PBE)

Largest 10 diffraction maxima, most intense first, 10 to 90 degrees two-theta:
| 2theta | I/Imax |
| --- | --- |
| 24.03 | 100 |
| 24.13 | 100 |
| 29.12 | 75 |
| 38.89 | 65 |
| 12.53 | 65 |
| 48.77 | 59 |
| 32.70 | 52 |
| 43.75 | 48 |
| 25.21 | 43 |
| 48.60 | 32 |

Structure:
```
RbPuClF2
1.0
4.323 0.000 0.000
0.000 4.349 0.000
0.000 0.000 7.066
Rb Pu Cl F
1 1 1 2
direct
0.000 0.000 0.000 Rb
0.500 0.500 0.576 Pu
0.500 0.500 0.187 Cl
0.000 0.500 0.717 F
0.500 0.000 0.712 F
```

=====

# 11
Theoretical powder diffraction line list
Compound: Tb5Te5Pd
Radiation: Cu Kα, 1.54184 Å
Structure: DFT lattice parameters and positions (GGA-PBE)

Largest 10 diffraction maxima, most intense first, 10 to 90 degrees two-theta:
| 2theta | I/Imax |
| --- | --- |
| 41.65 | 100 |
| 28.91 | 96 |
| 29.02 | 89 |
| 29.36 | 89 |
| 41.42 | 68 |
| 51.73 | 36 |
| 68.09 | 35 |
| 51.44 | 34 |
| 41.92 | 33 |
| 75.58 | 19 |

Structure:
```
Tb5Te5Pd
1.0
6.886 -3.088 0.000
6.886 3.088 0.000
-2.792 0.000 8.156
Tb Te Pd
5 5 1
direct
0.000 0.000 0.000 Tb
0.344 0.344 0.682 Tb
0.346 0.346 0.156 Tb
0.654 0.654 0.844 Tb
0.656 0.656 0.318 Tb
0.165 0.165 0.826 Te
0.179 0.179 0.334 Te
0.500 0.500 0.500 Te
0.821 0.821 0.666 Te
0.835 0.835 0.174 Te
0.500 0.500 0.000 Pd
```

=====

# 12
Theoretical powder diffraction line list
Compound: BaEr2Se4
Radiation: Cu Kα, 1.54184 Å
Structure: DFT lattice parameters and positions (GGA-PBE)

Largest 10 diffraction maxima, most intense first, 10 to 90 degrees two-theta:
| 2theta | I/Imax |
| --- | --- |
| 28.56 | 100 |
| 34.90 | 96 |
| 23.93 | 96 |
| 43.23 | 67 |
| 25.29 | 65 |
| 42.84 | 59 |
| 35.28 | 55 |
| 23.53 | 54 |
| 30.32 | 53 |
| 30.48 | 53 |

Structure:
```
BaEr2Se4
1.0
12.813 0.000 0.000
0.000 4.186 0.000
0.000 0.000 15.125
Ba Er Se
4 8 16
direct
0.240 0.250 0.165 Ba
0.260 0.750 0.665 Ba
0.740 0.250 0.335 Ba
0.760 0.750 0.835 Ba
0.063 0.250 0.391 Er
0.079 0.250 0.900 Er
0.421 0.750 0.400 Er
0.437 0.750 0.891 Er
0.563 0.250 0.109 Er
0.579 0.250 0.600 Er
0.921 0.750 0.100 Er
0.937 0.750 0.609 Er
0.025 0.750 0.783 Se
0.085 0.250 0.576 Se
0.125 0.750 0.025 Se
0.206 0.750 0.340 Se
0.294 0.250 0.840 Se
0.375 0.250 0.525 Se
0.415 0.750 0.076 Se
0.475 0.250 0.283 Se
0.525 0.750 0.717 Se
0.585 0.250 0.924 Se
0.625 0.750 0.475 Se
0.706 0.750 0.160 Se
0.794 0.250 0.660 Se
0.875 0.250 0.975 Se
0.915 0.750 0.424 Se
0.975 0.250 0.217 Se
```